Entry 1:
# Cd4PdPt5
Calculated powder X-ray diffraction pattern, copper Kα. Input: the PBE geometry in Alexandria.
No peak broadening, texture or thermal motion is included.

Largest 12 diffraction maxima, in order of rising 2θ, 2θ from 15° to 90°:
d 3.964, I 6; d 2.939, I 6; d 2.361, I 100; d 2.078, I 34; d 1.982, I 15; d 1.471, I 5; d 1.467, I 6; d 1.434, I 20; d 1.248, I 12; d 1.247, I 13; d 1.205, I 12; d 1.179, I 6

Structural model:
Unit cell a=2.9347 b=3.9640 c=14.7121 alpha=90.00 beta=90.00 gamma=90.00
Positions (direct):
Cd1 0.0000 0.0000 0.1023
Cd2 0.0000 0.0000 0.3074
Cd3 0.0000 0.0000 0.6926
Cd4 0.0000 0.0000 0.8977
Pd1 0.0000 0.0000 0.5000
Pt1 0.5000 0.5000 0.0000
Pt2 0.5000 0.5000 0.2031
Pt3 0.5000 0.5000 0.4060
Pt4 0.5000 0.5000 0.5940
Pt5 0.5000 0.5000 0.7969

=====

Entry 2:
# ScU2P3
Calculated powder X-ray diffraction pattern, copper Kα. Input: the PBE geometry in Alexandria.
No peak broadening, texture or thermal motion is included.

Largest 12 diffraction maxima, in order of rising 2θ, 2θ from 15° to 90°:
d 3.752, I 9; d 3.279, I 8; d 3.169, I 90; d 2.745, I 100; d 1.941, I 73; d 1.655, I 44; d 1.585, I 25; d 1.372, I 12; d 1.259, I 16; d 1.228, I 28; d 1.121, I 18; d 1.120, I 9

Structural model:
Unit cell a=12.8651 b=12.2647 c=6.7258 alpha=79.47 beta=69.60 gamma=30.93
Positions (direct):
Sc1 0.0415 0.0415 0.2085
Sc2 0.2085 0.2085 0.0415
Sc3 0.7915 0.7915 0.9585
Sc4 0.9585 0.9585 0.7915
U1 0.1257 0.1257 0.6243
U2 0.2923 0.2923 0.4577
U3 0.3757 0.3757 0.8743
U4 0.4577 0.4577 0.2923
U5 0.5423 0.5423 0.7077
U6 0.6243 0.6243 0.1257
U7 0.7077 0.7077 0.5423
U8 0.8743 0.8743 0.3757
P1 0.0413 0.5393 0.2012
P2 0.1154 0.6346 0.6346
P3 0.2012 0.7182 0.0413
P4 0.2818 0.7988 0.4607
P5 0.3654 0.8846 0.8846
P6 0.4607 0.9587 0.2818
P7 0.5393 0.0413 0.7182
P8 0.6346 0.1154 0.1154
P9 0.7182 0.2012 0.5393
P10 0.7988 0.2818 0.9587
P11 0.8846 0.3654 0.3654
P12 0.9587 0.4607 0.7988